No. 1
# Pb2Cl5
Theoretical powder diffraction line list, Cu Kα (weighted mean of Kα1 and Kα2). Input: a crystal structure in Alexandria, relaxed with GGA-PBE.

Cell and atoms:
Unit cell a=9.612 b=9.612 c=7.689 alpha=104.81 beta=104.81 gamma=41.79
Atoms (fractional coordinates):
1 Pb 0.102 0.617 0.718
2 Pb 0.383 0.898 0.782
3 Pb 0.617 0.102 0.218
4 Pb 0.898 0.383 0.282
5 Cl 0.022 0.183 0.943
6 Cl 0.183 0.022 0.443
7 Cl 0.211 0.382 0.360
8 Cl 0.382 0.211 0.860
9 Cl 0.416 0.584 0.750
10 Cl 0.584 0.416 0.250
11 Cl 0.618 0.789 0.140
12 Cl 0.789 0.618 0.640
13 Cl 0.817 0.978 0.557
14 Cl 0.978 0.817 0.057

Top 6 peaks for 10° ≤ 2θ ≤ 90°, sorted by position:
Position (°2θ), d_spacing, I (rel.)
17.4, 5.088, 100
20.6, 4.319, 46
21.2, 4.193, 63
25.6, 3.480, 35
37.5, 2.399, 34
37.9, 2.373, 41

---

No. 2
# PmPbCl6
Theoretical powder diffraction line list, Cu Kα (weighted mean of Kα1 and Kα2). Input: a crystal structure in Alexandria, relaxed with GGA-PBE.

Cell and atoms:
Unit cell a=7.389 b=7.389 c=7.389 alpha=54.91 beta=54.91 gamma=54.91
Atoms (fractional coordinates):
1 Pm 0.000 0.000 0.000
2 Pb 0.500 0.500 0.500
3 Cl 0.086 0.752 0.412
4 Cl 0.248 0.588 0.914
5 Cl 0.412 0.086 0.752
6 Cl 0.588 0.914 0.248
7 Cl 0.752 0.412 0.086
8 Cl 0.914 0.248 0.588

Top 6 peaks for 10° ≤ 2θ ≤ 90°, sorted by position:
Position (°2θ), d_spacing, I (rel.)
17.8, 4.995, 100
24.2, 3.672, 47
31.8, 2.814, 23
39.1, 2.304, 47
41.6, 2.170, 23
46.2, 1.967, 21